# 1
Starting from the GGA-PBE geometry in Alexandria, the powder diffractogram of Rb3CuI5 was simulated for Cu Kα X-rays.
Intensities are scaled so that the largest is 100.

Most intense lines, 10° ≤ 2θ ≤ 80°, by angle:
d 3.551, I 12
d 3.487, I 12
d 3.437, I 100
d 3.176, I 44
d 3.130, I 15
d 2.127, I 14
d 2.043, I 17
d 1.761, I 22

Structural model:
Unit cell a=10.0445 b=10.0445 c=16.0088 alpha=90.00 beta=90.00 gamma=90.00
Space group I4/mcm (No. 140)
Inequivalent atoms, fractional coordinates:
Rb 0.0000 0.0000 0.2500 (multiplicity 4)
Rb 0.1566 0.3434 0.0000 (multiplicity 8)
Cu 0.0000 0.5000 0.2500 (multiplicity 4)
I 0.0000 0.0000 0.0000 (multiplicity 4)
I 0.1440 0.3560 0.3495 (multiplicity 16)


# 2
Starting from the GGA-PBE geometry in Alexandria, the powder diffractogram of RbCuI2 was simulated for Cu Kα X-rays.
Intensities are scaled so that the largest is 100.

Most intense lines, 10° ≤ 2θ ≤ 80°, by angle:
d 6.488, I 59
d 4.906, I 43
d 3.890, I 74
d 3.749, I 55
d 3.534, I 100
d 3.057, I 57
d 2.893, I 52
d 2.190, I 51

Structural model:
Unit cell a=8.0136 b=11.0538 c=7.4977 alpha=90.00 beta=90.00 gamma=90.00
Space group Pna2_1 (No. 33)
Inequivalent atoms, fractional coordinates:
Rb 0.1554 0.1274 0.0000 (multiplicity 4)
Cu 0.0339 0.3723 0.5505 (multiplicity 4)
I 0.0675 0.4243 0.2082 (multiplicity 4)
I 0.1510 0.8136 0.1479 (multiplicity 4)


# 3
Starting from the GGA-PBE geometry in Alexandria, the powder diffractogram of RbCuI2 was simulated for Cu Kα X-rays.
Intensities are scaled so that the largest is 100.

Most intense lines, 10° ≤ 2θ ≤ 80°, by angle:
d 4.198, I 79
d 4.122, I 93
d 3.677, I 64
d 3.360, I 53
d 3.288, I 53
d 3.049, I 78
d 3.010, I 100
d 2.159, I 69

Structural model:
Unit cell a=7.9845 b=18.8908 c=9.1620 alpha=90.00 beta=90.00 gamma=90.00
Space group Cmce (No. 64)
Inequivalent atoms, fractional coordinates:
Rb 0.0000 0.1300 0.0499 (multiplicity 8)
Cu 0.0000 0.0869 0.6263 (multiplicity 8)
I 0.0000 0.1816 0.4381 (multiplicity 8)
I 0.2500 0.0250 0.7500 (multiplicity 8)


# 4
Starting from the GGA-PBE geometry in Alexandria, the powder diffractogram of RbCuI was simulated for Cu Kα X-rays.
Intensities are scaled so that the largest is 100.

Most intense lines, 10° ≤ 2θ ≤ 80°, by angle:
d 3.755, I 53
d 3.252, I 97
d 3.040, I 100
d 2.536, I 23
d 2.315, I 21
d 2.000, I 48
d 1.834, I 32
d 1.804, I 32

Structural model:
Unit cell a=7.5104 b=7.5104 c=6.8770 alpha=90.00 beta=90.00 gamma=120.00
Space group P3_221 (No. 154)
Inequivalent atoms, fractional coordinates:
Rb 0.0000 0.5976 0.3333 (multiplicity 3)
Cu 0.0000 0.9095 0.8333 (multiplicity 3)
I 0.0000 0.5523 0.8333 (multiplicity 3)